(1)
The following is a calculated powder XRD pattern of SrAg2Br4. It was derived from a crystal structure in Alexandria, relaxed with GGA-PBE, using Cu Kα.
No peak broadening, texture or thermal motion is included.

The 8 most intense peaks (2θ = 5–70°), in order of rising 2θ:
2θ = 13.13°, I = 133
2θ = 24.06°, I = 1000
2θ = 39.29°, I = 527
2θ = 40.78°, I = 234
2θ = 45.26°, I = 173
2θ = 47.91°, I = 286
2θ = 59.05°, I = 72
2θ = 62.54°, I = 121

Atomic structure:
```
SrAg2Br4
1.0
6.258 0.000 0.000
0.000 6.258 0.000
0.000 0.000 6.741
Sr Ag Br
1 2 4
direct
0.000 0.000 0.000
0.000 0.500 0.500
0.500 0.000 0.500
0.267 0.267 0.263
0.267 0.733 0.737
0.733 0.267 0.737
0.733 0.733 0.263
```

=====

(2)
The following is a calculated powder XRD pattern of TlH3Cl. It was derived from a crystal structure in Alexandria, relaxed with GGA-PBE, using Cu Kα.
No peak broadening, texture or thermal motion is included.

The 8 most intense peaks (2θ = 5–70°), in order of rising 2θ:
2θ = 15.12°, I = 1000
2θ = 20.76°, I = 265
2θ = 21.38°, I = 182
2θ = 21.53°, I = 226
2θ = 27.97°, I = 207
2θ = 29.04°, I = 407
2θ = 30.93°, I = 363
2θ = 39.44°, I = 189

Atomic structure:
```
TlH3Cl
1.0
11.724 -2.176 0.000
11.724 2.176 0.000
-0.046 0.000 4.428
Tl H Cl
2 6 2
direct
0.116 0.116 0.296
0.884 0.884 0.704
0.246 0.246 0.707
0.269 0.269 0.829
0.487 0.487 0.452
0.513 0.513 0.548
0.731 0.731 0.171
0.754 0.754 0.293
0.375 0.375 0.195
0.625 0.625 0.805
```

=====

(3)
The following is a calculated powder XRD pattern of Ho5S5N. It was derived from a crystal structure in Alexandria, relaxed with GGA-PBE, using Cu Kα.
No peak broadening, texture or thermal motion is included.

The 8 most intense peaks (2θ = 5–70°), in order of rising 2θ:
2θ = 28.67°, I = 975
2θ = 28.83°, I = 1000
2θ = 33.15°, I = 908
2θ = 33.26°, I = 818
2θ = 33.54°, I = 829
2θ = 47.69°, I = 843
2θ = 47.88°, I = 599
2θ = 56.55°, I = 437

Atomic structure:
```
Ho5S5N
1.0
6.034 -2.702 0.000
6.034 2.702 0.000
-2.426 0.000 7.157
Ho S N
5 5 1
direct
0.000 0.000 0.000
0.346 0.346 0.687
0.350 0.350 0.158
0.650 0.650 0.842
0.654 0.654 0.313
0.167 0.167 0.832
0.174 0.174 0.332
0.500 0.500 0.500
0.826 0.826 0.668
0.833 0.833 0.168
0.500 0.500 0.000
```

=====

What is the formula in the third record?
Ho5S5N